1.
This entry pairs a crystal structure of Y3ThSe4 with its computed powder diffraction line list. Radiation: Cu Ka. Structure: a GGA-PBE-relaxed structure.

The 10 most intense peaks (2θ from 10° to 90°), in order of falling intensity:
(hkl)	two_theta	Rel. int.
2 0 1	30.69	100.0
2 4 1	43.95	49.1
4 4 2	72.54	21.8
4 4 0	54.21	13.1
0 4 2	54.92	12.7
4 0 0	43.57	12.5
0 0 2	44.39	12.0
1 1 0	13.08	9.4
2 4 3	81.43	8.3
6 4 1	80.27	8.2

Crystal structure
abc: 8.3091 11.6645 4.0812
angles: 90.00 90.00 90.00
Space group Cmmm (No. 65)
Unique sites:
Y1 0.0000 0.0000 0.0000 (multiplicity 2)
Y2 0.2500 0.2500 0.5000 (multiplicity 4)
Th1 0.0000 0.5000 0.0000 (multiplicity 2)
Se1 0.0000 0.2458 0.0000 (multiplicity 4)
Se2 0.2411 0.0000 0.5000 (multiplicity 4)

=====

2.
This entry pairs a crystal structure of Y3Th2Se6 with its computed powder diffraction line list. Radiation: Cu Ka. Structure: a GGA-PBE-relaxed structure.

The 10 most intense peaks (2θ from 10° to 90°), in order of falling intensity:
(hkl)	two_theta	Rel. int.
1 3 1	30.74	100.0
1 3 -3	43.93	37.2
2 0 2	44.12	36.7
2 6 -2	54.62	12.9
2 6 2	64.02	12.0
0 6 4	72.50	11.2
3 3 3	72.81	10.9
1 1 0	15.06	10.8
1 1 -1	16.84	9.2
1 3 5	80.80	8.3

Crystal structure
abc: 7.0985 12.3491 7.1497
angles: 90.00 109.55 90.00
Space group C2/m (No. 12)
Unique sites:
Y1 0.0000 0.0000 0.0000 (multiplicity 2)
Y2 0.0000 0.3339 0.0000 (multiplicity 4)
Th1 0.0000 0.1656 0.5000 (multiplicity 4)
Se1 0.2376 0.5000 0.2488 (multiplicity 4)
Se2 0.2467 0.3378 0.7549 (multiplicity 8)

=====

3.
This entry pairs a crystal structure of YTh2Se4 with its computed powder diffraction line list. Radiation: Cu Ka. Structure: a GGA-PBE-relaxed structure.

The 10 most intense peaks (2θ from 10° to 90°), in order of falling intensity:
(hkl)	two_theta	Rel. int.
3 1 0	32.46	100.0
2 1 3	37.70	80.8
1 0 3	31.38	62.8
2 1 1	24.86	57.4
3 2 1	38.52	47.9
3 0 1	32.34	42.9
1 1 2	24.40	37.8
3 2 3	48.22	26.7
2 0 6	65.44	26.6
4 0 2	46.22	26.5

Crystal structure
abc: 8.7220 8.7220 9.0487
angles: 90.00 90.00 90.00
Space group I-42d (No. 122)
Unique sites:
Y1 0.0000 0.0000 0.0000 (multiplicity 4)
Th1 0.1133 0.7500 0.6250 (multiplicity 8)
Se1 0.0779 0.6820 0.9542 (multiplicity 16)

=====

4.
This entry pairs a crystal structure of YTh6Se8 with its computed powder diffraction line list. Radiation: Cu Ka. Structure: a GGA-PBE-relaxed structure.

The 10 most intense peaks (2θ from 10° to 90°), in order of falling intensity:
(hkl)	two_theta	Rel. int.
4 0 0	30.26	100.0
4 4 0	43.32	75.6
8 4 0	71.40	34.9
2 2 2	26.13	27.4
4 4 4	53.75	26.9
8 4 4	79.47	26.2
2 0 0	15.00	14.9
6 2 2	51.29	14.4
2 2 0	21.27	13.6
8 0 0	62.93	12.6

Crystal structure
abc: 11.8158 11.8158 11.8158
angles: 90.00 90.00 90.00
Space group Fm-3m (No. 225)
Unique sites:
Y1 0.0000 0.0000 0.0000 (multiplicity 4)
Th1 0.0000 0.2500 0.2500 (multiplicity 24)
Se1 0.0000 0.0000 0.2523 (multiplicity 24)
Se2 0.2500 0.2500 0.2500 (multiplicity 8)

=====

5.
This entry pairs a crystal structure of Th2Zn2Se with its computed powder diffraction line list. Radiation: Cu Ka. Structure: a GGA-PBE-relaxed structure.

The 10 most intense peaks (2θ from 10° to 90°), in order of falling intensity:
(hkl)	two_theta	Rel. int.
0 1 5	31.29	100.0
1 1 0	41.78	58.8
1 0 1	24.11	35.2
1 0 7	37.22	33.7
1 1 12	66.64	26.5
1 0 4	28.79	25.2
2 0 5	53.11	22.9
1 2 5	69.76	20.3
0 1 2	25.10	18.1
1 0 10	47.73	14.8

Crystal structure
abc: 4.3241 4.3241 22.1353
angles: 90.00 90.00 120.00
Space group R-3m (No. 166, hexagonal axes)
Unique sites:
Th1 0.0000 0.0000 0.0903 (multiplicity 6)
Zn1 0.0000 0.0000 0.3298 (multiplicity 6)
Se1 0.0000 0.0000 0.5000 (multiplicity 3)

=====

6.
This entry pairs a crystal structure of Th6Zn3Se14 with its computed powder diffraction line list. Radiation: Cu Ka. Structure: a GGA-PBE-relaxed structure.

The 10 most intense peaks (2θ from 10° to 90°), in order of falling intensity:
(hkl)	two_theta	Rel. int.
0 2 1	24.45	100.0
2 0 2	35.66	75.8
2 2 0	34.03	68.6
3 1 1	38.57	68.0
3 0 1	32.97	61.6
1 2 2	39.68	58.2
1 3 0	35.47	54.2
0 1 1	17.61	46.9
1 4 1	48.11	42.7
2 -1 1	22.40	38.3

Crystal structure
abc: 10.5373 10.5373 6.0377
angles: 90.00 90.00 120.00
Space group P3 (No. 143)
Unique sites:
Th1 0.0345 0.5629 0.0000 (multiplicity 3)
Th2 0.2993 0.1003 0.5012 (multiplicity 3)
Zn1 0.0000 0.0000 0.9044 (multiplicity 1)
Zn2 0.3333 0.6667 0.4018 (multiplicity 1)
Zn3 0.6667 0.3333 0.2525 (multiplicity 1)
Se1 0.0000 0.0000 0.3002 (multiplicity 1)
Se2 0.0866 0.8396 0.7506 (multiplicity 3)
Se3 0.1763 0.4194 0.2488 (multiplicity 3)
Se4 0.3333 0.6667 0.7973 (multiplicity 1)
Se5 0.4153 0.1776 0.0147 (multiplicity 3)
Se6 0.5105 0.4276 0.5025 (multiplicity 3)